Entry 1:
For LuGaNi2, DFT lattice parameters and positions (GGA-PBE) gives the calculated powder diffraction line list in this record (Cu Ka).
Lines closer than 0.1° are merged.

Largest 10 diffraction maxima, by intensity, 2θ = 5–70°:
| d_spacing | I/Imax |
| --- | --- |
| 2.152 | 1000 |
| 2.600 | 699 |
| 2.546 | 532 |
| 2.184 | 364 |
| 2.039 | 332 |
| 1.480 | 247 |
| 1.381 | 232 |
| 1.389 | 189 |
| 2.205 | 145 |
| 2.973 | 123 |

Crystal structure
a = 5.092 Å, b = 5.092 Å, c = 16.097 Å
α = 90.00°, β = 90.00°, γ = 120.00°
Sites, in units of the cell vectors:
1 Lu 0.333 0.667 0.039
2 Lu 0.333 0.667 0.243
3 Lu 0.333 0.667 0.466
4 Lu 0.667 0.333 0.534
5 Lu 0.667 0.333 0.757
6 Lu 0.667 0.333 0.961
7 Ga 0.167 0.335 0.630
8 Ga 0.167 0.833 0.630
9 Ga 0.335 0.167 0.370
10 Ga 0.665 0.833 0.630
11 Ga 0.833 0.167 0.370
12 Ga 0.833 0.665 0.370
13 Ni 0.000 0.000 0.000
14 Ni 0.000 0.000 0.247
15 Ni 0.000 0.000 0.500
16 Ni 0.000 0.000 0.753
17 Ni 0.168 0.335 0.876
18 Ni 0.168 0.832 0.876
19 Ni 0.333 0.667 0.754
20 Ni 0.335 0.168 0.124
21 Ni 0.665 0.832 0.876
22 Ni 0.667 0.333 0.246
23 Ni 0.832 0.168 0.124
24 Ni 0.832 0.665 0.124

=====

Entry 2:
For SbO3, DFT lattice parameters and positions (GGA-PBE) gives the calculated powder diffraction line list in this record (Cu Ka).
Lines closer than 0.1° are merged.

Largest 10 diffraction maxima, by intensity, 2θ = 5–70°:
| d_spacing | I/Imax |
| --- | --- |
| 4.221 | 1000 |
| 2.765 | 514 |
| 4.730 | 367 |
| 2.820 | 340 |
| 4.607 | 267 |
| 2.295 | 242 |
| 1.815 | 153 |
| 1.751 | 145 |
| 2.609 | 134 |
| 1.770 | 117 |

Crystal structure
a = 5.522 Å, b = 4.820 Å, c = 10.210 Å
α = 90.00°, β = 121.05°, γ = 90.00°
Sites, in units of the cell vectors:
1 Sb 0.145 0.021 0.404
2 Sb 0.145 0.479 0.904
3 Sb 0.855 0.521 0.096
4 Sb 0.855 0.979 0.596
5 O 0.122 0.736 0.056
6 O 0.122 0.764 0.556
7 O 0.151 0.196 0.765
8 O 0.151 0.304 0.265
9 O 0.484 0.681 0.921
10 O 0.484 0.819 0.421
11 O 0.516 0.181 0.579
12 O 0.516 0.319 0.079
13 O 0.849 0.696 0.735
14 O 0.849 0.804 0.235
15 O 0.878 0.236 0.444
16 O 0.878 0.264 0.944

=====

Entry 3:
For NaSb2O2F6, DFT lattice parameters and positions (GGA-PBE) gives the calculated powder diffraction line list in this record (Cu Ka).
Lines closer than 0.1° are merged.

Largest 10 diffraction maxima, by intensity, 2θ = 5–70°:
| d_spacing | I/Imax |
| --- | --- |
| 5.284 | 1000 |
| 4.371 | 518 |
| 3.677 | 488 |
| 3.596 | 477 |
| 3.191 | 344 |
| 2.444 | 161 |
| 4.070 | 146 |
| 2.606 | 135 |
| 5.078 | 113 |
| 2.115 | 112 |

Crystal structure
a = 6.140 Å, b = 9.232 Å, c = 14.246 Å
α = 90.00°, β = 107.29°, γ = 90.00°
Sites, in units of the cell vectors:
1 Na 0.153 0.044 0.401
2 Na 0.153 0.456 0.901
3 Na 0.847 0.544 0.099
4 Na 0.847 0.956 0.599
5 Sb 0.180 0.657 0.551
6 Sb 0.180 0.843 0.051
7 Sb 0.446 0.147 0.701
8 Sb 0.446 0.353 0.201
9 Sb 0.554 0.647 0.799
10 Sb 0.554 0.853 0.299
11 Sb 0.820 0.157 0.949
12 Sb 0.820 0.343 0.449
13 O 0.139 0.115 0.682
14 O 0.139 0.385 0.182
15 O 0.472 0.678 0.654
16 O 0.472 0.822 0.154
17 O 0.528 0.178 0.846
18 O 0.528 0.322 0.346
19 O 0.861 0.615 0.818
20 O 0.861 0.885 0.318
21 F 0.028 0.197 0.875
22 F 0.028 0.303 0.375
23 F 0.119 0.076 0.062
24 F 0.119 0.424 0.562
25 F 0.141 0.635 0.016
26 F 0.141 0.865 0.516
27 F 0.315 0.501 0.775
28 F 0.315 0.999 0.275
29 F 0.400 0.676 0.311
30 F 0.400 0.824 0.811
31 F 0.443 0.117 0.563
32 F 0.443 0.383 0.063
33 F 0.557 0.617 0.937
34 F 0.557 0.883 0.437
35 F 0.600 0.176 0.189
36 F 0.600 0.324 0.689
37 F 0.685 0.001 0.725
38 F 0.685 0.499 0.225
39 F 0.859 0.135 0.484
40 F 0.859 0.365 0.984
41 F 0.881 0.576 0.438
42 F 0.881 0.924 0.938
43 F 0.972 0.697 0.625
44 F 0.972 0.803 0.125

=====

Entry 4:
For Zn5Se4S, DFT lattice parameters and positions (GGA-PBE) gives the calculated powder diffraction line list in this record (Cu Ka).
Lines closer than 0.1° are merged.

Largest 10 diffraction maxima, by intensity, 2θ = 5–70°:
| d_spacing | I/Imax |
| --- | --- |
| 3.292 | 1000 |
| 2.016 | 729 |
| 1.719 | 432 |
| 1.426 | 112 |
| 16.445 | 42 |
| 8.223 | 10 |
| 2.232 | 10 |
| 3.459 | 8 |
| 2.481 | 7 |
| 3.485 | 7 |

Crystal structure
a = 16.610 Å, b = 16.610 Å, c = 16.610 Å
α = 13.95°, β = 13.95°, γ = 13.95°
Sites, in units of the cell vectors:
1 Zn 0.000 0.000 0.000
2 Zn 0.198 0.198 0.198
3 Zn 0.396 0.396 0.396
4 Zn 0.599 0.599 0.599
5 Zn 0.797 0.797 0.797
6 Se 0.148 0.148 0.148
7 Se 0.548 0.548 0.548
8 Se 0.747 0.747 0.747
9 Se 0.949 0.949 0.949
10 S 0.348 0.348 0.348

=====

Entry 5:
For Sr2ZnP2, DFT lattice parameters and positions (GGA-PBE) gives the calculated powder diffraction line list in this record (Cu Ka).
Lines closer than 0.1° are merged.

Largest 10 diffraction maxima, by intensity, 2θ = 5–70°:
| d_spacing | I/Imax |
| --- | --- |
| 2.768 | 1000 |
| 2.124 | 441 |
| 3.679 | 330 |
| 3.370 | 255 |
| 1.685 | 218 |
| 1.693 | 192 |
| 2.801 | 148 |
| 1.529 | 144 |
| 1.494 | 117 |
| 2.229 | 108 |

Crystal structure
a = 4.248 Å, b = 4.248 Å, c = 8.404 Å
α = 90.00°, β = 90.00°, γ = 120.00°
Sites, in units of the cell vectors:
1 Sr 0.000 0.000 0.204
2 Sr 0.000 0.000 0.796
3 Zn 0.667 0.333 0.500
4 P 0.333 0.667 0.500
5 P 0.667 0.333 0.000

=====

Entry 6:
For HfCo, DFT lattice parameters and positions (GGA-PBE) gives the calculated powder diffraction line list in this record (Cu Ka).
Lines closer than 0.1° are merged.

Largest 10 diffraction maxima, by intensity, 2θ = 5–70°:
| d_spacing | I/Imax |
| --- | --- |
| 2.447 | 1000 |
| 3.152 | 481 |
| 1.978 | 405 |
| 2.106 | 325 |
| 2.375 | 322 |
| 2.240 | 314 |
| 1.534 | 194 |
| 1.576 | 180 |
| 1.520 | 169 |
| 2.069 | 146 |

Crystal structure
a = 5.007 Å, b = 5.007 Å, c = 4.212 Å
α = 90.00°, β = 90.00°, γ = 143.11°
Sites, in units of the cell vectors:
1 Hf 0.140 0.860 0.750
2 Hf 0.860 0.140 0.250
3 Co 0.414 0.586 0.750
4 Co 0.586 0.414 0.250